# 1
The following is a simulated powder diffractogram of PaZnH. It was derived from a PBE-relaxed structure, using copper Kα.
Peak positions follow from Bragg's law for the DFT cell and can differ from measured ones.

Main lines, sorted by position (2θ = 15–90°):
- d = 3.726 Å, 2θ 23.88, intensity 98
- d = 2.825 Å, 2θ 31.68, intensity 66
- d = 2.772 Å, 2θ 32.30, intensity 100
- d = 2.511 Å, 2θ 35.76, intensity 30
- d = 2.395 Å, 2θ 37.56, intensity 42
- d = 2.370 Å, 2θ 37.96, intensity 96
- d = 2.335 Å, 2θ 38.56, intensity 41
- d = 2.179 Å, 2θ 41.44, intensity 39
- d = 1.725 Å, 2θ 53.08, intensity 32
- d = 1.461 Å, 2θ 63.70, intensity 31

Cell: 3.0722 4.3579 7.1843 Å, 90.00 90.00 90.00°
Space group Pmmn (No. 59, origin choice 2)
Unique sites:
Pa 0.2500 0.2500 0.1452 x2
Zn 0.2500 0.7500 0.4721 x2
H 0.2500 0.7500 0.0837 x2

---

# 2
The following is a simulated powder diffractogram of VFe2Cl8. It was derived from a PBE-relaxed structure, using copper Kα.
Peak positions follow from Bragg's law for the DFT cell and can differ from measured ones.

Main lines, sorted by position (2θ = 15–90°):
- d = 4.658 Å, 2θ 19.05, intensity 100
- d = 4.597 Å, 2θ 19.31, intensity 95
- d = 4.174 Å, 2θ 21.29, intensity 52
- d = 3.664 Å, 2θ 24.30, intensity 50
- d = 3.122 Å, 2θ 28.59, intensity 99
- d = 3.091 Å, 2θ 28.88, intensity 48
- d = 2.961 Å, 2θ 30.19, intensity 48
- d = 2.308 Å, 2θ 39.02, intensity 54
- d = 2.110 Å, 2θ 42.86, intensity 47
- d = 1.886 Å, 2θ 48.25, intensity 37

Cell: 11.8690 9.3169 5.9167 Å, 90.00 90.45 90.00°
Space group C2/m (No. 12)
Unique sites:
V 0.0000 0.0000 0.0000 x2
Fe 0.1833 0.0000 0.6295 x4
Cl 0.0850 0.1857 0.7813 x8
Cl 0.1418 0.5000 0.2786 x4
Cl 0.1680 0.0000 0.2475 x4